(1)
Theoretical powder XRD pattern of PmHoMg for Cu Ka, from DFT lattice parameters and positions (GGA-PBE).
No peak broadening, texture or thermal motion is included.

Principal peaks in the range 15° ≤ 2θ ≤ 90°, by angle:
Position (°2θ)  I/Imax
25.0  33
31.8  100
34.2  21
34.3  21
44.5  11
49.2  15
55.1  20
59.8  17
59.9  16
66.5  11

Crystal structure
Cell lengths 6.995, 6.995, 5.241 Å; angles 90.00, 90.00, 136.13 degrees
Element x y z (fractional)
Pm1 0.090 0.910 0.750
Pm2 0.910 0.090 0.250
Ho1 0.408 0.592 0.750
Ho2 0.592 0.408 0.250
Mg1 0.250 0.750 0.250
Mg2 0.750 0.250 0.750



(2)
Theoretical powder XRD pattern of PmHo8Mg6 for Cu Ka, from DFT lattice parameters and positions (GGA-PBE).
No peak broadening, texture or thermal motion is included.

Principal peaks in the range 15° ≤ 2θ ≤ 90°, by angle:
Position (°2θ)  I/Imax
24.0  80
34.2  100
42.2  24
49.1  18
55.3  32
61.1  36
71.9  11
77.0  12
82.1  15
87.0  7

Crystal structure
Cell lengths 8.298, 8.298, 8.298 Å; angles 66.49, 66.49, 66.49 degrees
Element x y z (fractional)
Pm1 0.000 0.000 0.000
Ho1 0.117 0.451 0.783
Ho2 0.217 0.883 0.549
Ho3 0.335 0.335 0.335
Ho4 0.451 0.783 0.117
Ho5 0.549 0.217 0.883
Ho6 0.665 0.665 0.665
Ho7 0.783 0.117 0.451
Ho8 0.883 0.549 0.217
Mg1 0.047 0.713 0.385
Mg2 0.287 0.615 0.953
Mg3 0.385 0.047 0.713
Mg4 0.615 0.953 0.287
Mg5 0.713 0.385 0.047
Mg6 0.953 0.287 0.615



(3)
Theoretical powder XRD pattern of PmHo4Mg for Cu Ka, from DFT lattice parameters and positions (GGA-PBE).
No peak broadening, texture or thermal motion is included.

Principal peaks in the range 15° ≤ 2θ ≤ 90°, by angle:
Position (°2θ)  I/Imax
19.8  18
30.3  61
30.4  31
31.5  57
33.3  100
33.4  48
37.9  34
51.9  28
57.3  21
62.0  33

Crystal structure
Cell lengths 6.088, 6.088, 11.874 Å; angles 104.70, 104.70, 60.23 degrees
Element x y z (fractional)
Pm1 0.090 0.910 0.750
Pm2 0.910 0.090 0.250
Ho1 0.168 0.667 0.000
Ho2 0.252 0.407 0.249
Ho3 0.333 0.832 0.500
Ho4 0.407 0.252 0.749
Ho5 0.593 0.748 0.251
Ho6 0.667 0.168 0.500
Ho7 0.748 0.593 0.751
Ho8 0.832 0.333 0.000
Mg1 0.000 0.500 0.500
Mg2 0.500 0.000 0.000



(4)
Theoretical powder XRD pattern of PmPrHo2Mg for Cu Ka, from DFT lattice parameters and positions (GGA-PBE).
No peak broadening, texture or thermal motion is included.

Principal peaks in the range 15° ≤ 2θ ≤ 90°, by angle:
Position (°2θ)  I/Imax
31.0  100
35.8  17
35.9  17
36.2  16
51.8  24
61.3  7
61.4  14
61.5  7
61.8  14
64.5  6

Crystal structure
Cell lengths 6.130, 6.130, 11.206 Å; angles 90.20, 90.20, 47.83 degrees
Element x y z (fractional)
Pm1 0.247 0.247 0.244
Pm2 0.753 0.753 0.756
Pr1 0.453 0.453 0.652
Pr2 0.547 0.547 0.348
Ho1 0.155 0.155 0.551
Ho2 0.352 0.352 0.953
Ho3 0.648 0.648 0.047
Ho4 0.845 0.845 0.449
Mg1 0.054 0.054 0.861
Mg2 0.946 0.946 0.139